Structure and theoretical powder diffraction line list of La2GdO4 (a crystal structure in OQMD, relaxed with PBE; a wavelength of 1.5418 Å).

Crystal structure
```
data_La2GdO4
_chemical_formula_sum 'La4 Gd2 O8'
_cell_length_a 7.0883
_cell_length_b 7.0883
_cell_length_c 7.0883
_cell_angle_alpha 60.00
_cell_angle_beta 60.00
_cell_angle_gamma 60.00
_space_group_name_H-M_alt 'P 1'
_space_group_IT_number 1
loop_
_space_group_symop_operation_xyz
'x,y,z'
loop_
_atom_site_label
_atom_site_type_symbol
_atom_site_fract_x
_atom_site_fract_y
_atom_site_fract_z
_atom_site_occupancy
La1 La 0.0000 0.0000 0.0000 1
La2 La 0.0000 0.0000 0.5000 1
La3 La 0.0000 0.5000 0.0000 1
La4 La 0.5000 0.0000 0.0000 1
Gd1 Gd 0.3750 0.3750 0.3750 1
Gd2 Gd 0.6250 0.6250 0.6250 1
O1 O 0.2471 0.7510 0.7510 1
O2 O 0.2490 0.2490 0.2490 1
O3 O 0.2490 0.2490 0.7529 1
O4 O 0.2490 0.7529 0.2490 1
O5 O 0.7510 0.2471 0.7510 1
O6 O 0.7510 0.7510 0.2471 1
O7 O 0.7510 0.7510 0.7510 1
O8 O 0.7529 0.2490 0.2490 1
```

Largest 12 diffraction maxima, sorted by position, 15° ≤ 2θ ≤ 90°:
2θ/deg, I_rel
25.1, 30
29.6, 100
30.9, 20
35.8, 8
44.3, 13
47.1, 37
51.6, 41
60.6, 13
61.3, 10
70.3, 7
72.4, 23
83.5, 12